[1]
Computed PXRD pattern of SrEu2Al2O7 for copper Kα, from a structure optimized by DFT (PBE).

Atomic structure:
```
12
Lattice="-1.882 1.882 9.963 1.882 -1.882 9.963 1.882 1.882 -9.963" Properties=species:S:1:pos:R:3 pbc="T T T"
Sr 0.000 0.000 0.000
Eu 0.000 0.000 3.634
Eu 0.000 0.000 16.293
Al 0.000 0.000 8.070
Al 0.000 0.000 11.857
O 1.882 0.000 2.021
O 0.000 0.000 5.976
O 1.882 0.000 7.942
O 0.000 0.000 9.963
O 0.000 1.882 2.021
O 0.000 0.000 13.951
O 0.000 1.882 7.942
```

Largest 10 diffraction maxima, by angle, 10 to 80 degrees two-theta:
2θ (°)	Rel. int.
24.07	340
26.84	237
27.24	422
32.73	1000
33.68	700
43.58	493
48.37	410
56.38	292
59.63	375
77.40	168


[2]
Computed PXRD pattern of K2HfF6 for copper Kα, from a structure optimized by DFT (PBE).

Atomic structure:
```
9
Lattice="0.000 4.380 4.380 4.380 0.000 4.380 4.380 4.380 0.000" Properties=species:S:1:pos:R:3 pbc="T T T"
K 2.190 2.190 2.190
K 6.570 6.570 6.570
Hf 0.000 0.000 0.000
F 4.380 4.380 2.003
F 4.380 2.003 4.380
F 6.757 4.380 4.380
F 2.003 4.380 4.380
F 4.380 6.757 4.380
F 4.380 4.380 6.757
```

Largest 10 diffraction maxima, by angle, 10 to 80 degrees two-theta:
2θ (°)	Rel. int.
17.54	1000
20.27	258
28.83	596
33.94	465
41.22	310
45.11	168
51.08	232
54.42	205
59.71	181
62.75	193


[3]
Computed PXRD pattern of Mg3Si2 for copper Kα, from a structure optimized by DFT (PBE).

Atomic structure:
```
10
Lattice="5.262 0.000 0.000 -1.657 5.293 0.000 -1.219 -0.936 7.046" Properties=species:S:1:pos:R:3 pbc="T T T"
Mg -0.592 0.860 2.875
Mg -0.608 0.642 6.722
Mg 0.369 3.996 2.278
Mg 2.018 0.361 4.768
Mg 2.994 3.715 0.324
Mg 2.979 3.497 4.171
Si -0.939 3.457 6.611
Si 0.374 2.647 4.771
Si 2.013 1.709 2.275
Si 3.325 0.900 0.435
```

Largest 10 diffraction maxima, by angle, 10 to 80 degrees two-theta:
2θ (°)	Rel. int.
34.17	1000
35.05	252
35.97	160
38.32	264
39.05	211
41.23	178
41.66	444
42.77	235
45.41	205
45.76	160


[4]
Computed PXRD pattern of LiNd2O6 for copper Kα, from a structure optimized by DFT (PBE).

Atomic structure:
```
9
Lattice="6.722 -2.200 0.000 6.722 2.200 0.000 -0.755 0.000 4.444" Properties=species:S:1:pos:R:3 pbc="T T T"
Li 0.000 0.000 0.000
Nd 4.092 0.000 1.123
Nd 8.597 0.000 3.321
O 1.099 0.000 4.307
O 2.896 0.000 3.171
O 6.040 0.000 2.840
O 6.650 0.000 1.604
O 9.794 0.000 1.272
O 11.591 0.000 0.136
```

Largest 10 diffraction maxima, by angle, 10 to 80 degrees two-theta:
2θ (°)	Rel. int.
13.36	849
21.28	278
22.14	401
25.94	221
28.58	1000
36.44	250
39.69	268
41.02	230
47.35	229
53.39	259


[5]
Computed PXRD pattern of Hf2Pd for copper Kα, from a structure optimized by DFT (PBE).

Atomic structure:
```
24
Lattice="0.000 6.217 6.217 6.217 0.000 6.217 6.217 6.217 0.000" Properties=species:S:1:pos:R:3 pbc="T T T"
Hf 0.000 0.000 0.000
Hf 3.109 3.109 0.000
Hf 3.109 0.000 3.109
Hf 4.663 4.663 2.350
Hf 4.663 2.350 4.663
Hf 6.976 4.663 4.663
Hf 7.772 7.772 5.459
Hf 7.772 5.459 7.772
Hf 10.085 7.772 7.772
Hf 0.000 3.109 3.109
Hf 2.350 4.663 4.663
Hf 4.663 6.976 4.663
Hf 4.663 4.663 6.976
Hf 5.459 7.772 7.772
Hf 7.772 10.085 7.772
Hf 7.772 7.772 10.085
Pd 9.728 5.815 5.815
Pd 2.707 2.707 2.707
Pd 6.619 6.619 2.707
Pd 6.619 2.707 6.619
Pd 5.815 9.728 5.815
Pd 5.815 5.815 9.728
Pd 9.728 9.728 9.728
Pd 2.707 6.619 6.619
```

Largest 10 diffraction maxima, by angle, 10 to 80 degrees two-theta:
2θ (°)	Rel. int.
31.36	269
35.36	393
37.59	1000
41.06	338
56.88	88
60.99	64
63.48	363
64.95	139
76.17	174
79.78	77


[6]
Computed PXRD pattern of Ho2ZrS5 for copper Kα, from a structure optimized by DFT (PBE).

Atomic structure:
```
32
Lattice="11.583 0.000 0.000 0.000 7.739 0.000 0.000 0.000 7.253" Properties=species:S:1:pos:R:3 pbc="T T T"
Ho 2.077 0.021 0.152
Ho 2.077 3.848 0.152
Ho 3.715 3.891 3.779
Ho 3.715 7.718 3.779
Ho 7.868 0.021 3.474
Ho 7.868 3.848 3.474
Ho 9.506 3.891 7.100
Ho 9.506 7.718 7.100
Zr 0.078 5.805 4.201
Zr 5.713 1.935 0.574
Zr 5.870 5.805 6.678
Zr 11.505 1.935 3.052
S 0.029 5.805 6.896
S 1.107 0.294 4.795
S 1.107 3.575 4.795
S 2.114 5.805 2.398
S 2.419 1.935 2.235
S 3.373 5.805 5.861
S 3.677 1.935 6.025
S 4.684 4.164 1.168
S 4.684 7.445 1.168
S 5.762 1.935 3.269
S 5.821 5.805 3.984
S 6.899 0.294 6.085
S 6.899 3.575 6.085
S 7.906 5.805 1.228
S 8.210 1.935 1.392
S 9.165 5.805 5.018
S 9.469 1.935 4.855
S 10.476 4.164 2.458
S 10.476 7.445 2.458
S 11.554 1.935 0.357
```

Largest 10 diffraction maxima, by angle, 10 to 80 degrees two-theta:
2θ (°)	Rel. int.
24.55	547
26.15	1000
27.23	490
27.73	532
33.88	325
35.09	674
37.36	727
46.97	329
47.43	476
54.54	279